[1]
Tb3Er3Co4: calculated powder diffraction line list (Cu Kα (weighted mean of Kα1 and Kα2)), based on the GGA-PBE geometry in Alexandria.

Most intense lines, 15 to 90 degrees two-theta, most intense first:
- 2θ = 35.35°, I = 100
- 2θ = 32.99°, I = 71
- 2θ = 39.76°, I = 42
- 2θ = 27.76°, I = 32
- 2θ = 60.41°, I = 24
- 2θ = 43.53°, I = 23
- 2θ = 57.44°, I = 15
- 2θ = 70.74°, I = 15

Cell and atoms:
```
data_Tb3Er3Co4
_cell_length_a 4.1585
_cell_length_b 7.1686
_cell_length_c 7.1686
_cell_angle_alpha 89.84
_cell_angle_beta 90.00
_cell_angle_gamma 90.00
_space_group_name_H-M_alt 'P 1'
_space_group_IT_number 1
loop_
_space_group_symop_operation_xyz
'x,y,z'
loop_
_atom_site_label
_atom_site_type_symbol
_atom_site_fract_x
_atom_site_fract_y
_atom_site_fract_z
_atom_site_occupancy
Tb1 Tb 0.0000 0.0000 0.0000 1
Tb2 Tb 0.5000 0.3297 0.8298 1
Tb3 Tb 0.5000 0.8298 0.3297 1
Er1 Er 0.0000 0.1581 0.5012 1
Er2 Er 0.0000 0.5012 0.1581 1
Er3 Er 0.0000 0.6557 0.6557 1
Co1 Co 0.5000 0.2222 0.2222 1
Co2 Co 0.5000 0.4441 0.4441 1
Co3 Co 0.5000 0.7145 0.9376 1
Co4 Co 0.5000 0.9376 0.7145 1
```

---

[2]
Rb4Sn5Au2: calculated powder diffraction line list (Cu Kα (weighted mean of Kα1 and Kα2)), based on the GGA-PBE geometry in Alexandria.

Most intense lines, 15 to 90 degrees two-theta, most intense first:
- 2θ = 26.27°, I = 100
- 2θ = 29.71°, I = 93
- 2θ = 29.25°, I = 70
- 2θ = 41.55°, I = 37
- 2θ = 41.04°, I = 34
- 2θ = 27.24°, I = 29
- 2θ = 35.48°, I = 27
- 2θ = 50.64°, I = 23

Cell and atoms:
```
data_Rb4Sn5Au2
_cell_length_a 7.0975
_cell_length_b 6.0146
_cell_length_c 9.7119
_cell_angle_alpha 90.00
_cell_angle_beta 93.14
_cell_angle_gamma 90.00
_space_group_name_H-M_alt 'P 1'
_space_group_IT_number 1
loop_
_space_group_symop_operation_xyz
'x,y,z'
loop_
_atom_site_label
_atom_site_type_symbol
_atom_site_fract_x
_atom_site_fract_y
_atom_site_fract_z
_atom_site_occupancy
Rb1 Rb 0.2350 0.0000 0.1119 1
Rb2 Rb 0.2642 0.0000 0.6314 1
Rb3 Rb 0.7358 0.0000 0.3686 1
Rb4 Rb 0.7650 0.0000 0.8881 1
Sn1 Sn 0.0000 0.5000 0.5000 1
Sn2 Sn 0.3676 0.5000 0.3595 1
Sn3 Sn 0.3787 0.5000 0.8730 1
Sn4 Sn 0.6213 0.5000 0.1270 1
Sn5 Sn 0.6324 0.5000 0.6405 1
Au1 Au 0.0028 0.5000 0.7897 1
Au2 Au 0.9972 0.5000 0.2103 1
```

---

[3]
Ba2CuGePd6: calculated powder diffraction line list (Cu Kα (weighted mean of Kα1 and Kα2)), based on the GGA-PBE geometry in Alexandria.

Most intense lines, 15 to 90 degrees two-theta, most intense first:
- 2θ = 36.97°, I = 100
- 2θ = 38.18°, I = 94
- 2θ = 38.74°, I = 77
- 2θ = 27.87°, I = 58
- 2θ = 29.21°, I = 40
- 2θ = 56.13°, I = 38
- 2θ = 28.39°, I = 37
- 2θ = 41.47°, I = 36

Cell and atoms:
```
data_Ba2CuGePd6
_cell_length_a 6.7779
_cell_length_b 6.7779
_cell_length_c 8.3756
_cell_angle_alpha 126.42
_cell_angle_beta 126.42
_cell_angle_gamma 49.79
_space_group_name_H-M_alt 'P 1'
_space_group_IT_number 1
loop_
_space_group_symop_operation_xyz
'x,y,z'
loop_
_atom_site_label
_atom_site_type_symbol
_atom_site_fract_x
_atom_site_fract_y
_atom_site_fract_z
_atom_site_occupancy
Ba1 Ba 0.2382 0.2382 0.1930 1
Ba2 Ba 0.7618 0.7618 0.8070 1
Cu1 Cu 0.5000 0.5000 0.0000 1
Ge1 Ge 0.0000 0.0000 0.5000 1
Pd1 Pd 0.2364 0.7261 0.7210 1
Pd2 Pd 0.2504 0.2504 0.6132 1
Pd3 Pd 0.2739 0.7636 0.2790 1
Pd4 Pd 0.7261 0.2364 0.7210 1
Pd5 Pd 0.7496 0.7496 0.3868 1
Pd6 Pd 0.7636 0.2739 0.2790 1
```

---

[4]
NdSm5YHo2: calculated powder diffraction line list (Cu Kα (weighted mean of Kα1 and Kα2)), based on the GGA-PBE geometry in Alexandria.

Most intense lines, 15 to 90 degrees two-theta, most intense first:
- 2θ = 31.87°, I = 100
- 2θ = 30.00°, I = 39
- 2θ = 31.65°, I = 38
- 2θ = 56.51°, I = 20
- 2θ = 27.61°, I = 17
- 2θ = 58.59°, I = 13
- 2θ = 60.85°, I = 13
- 2θ = 33.58°, I = 13

Cell and atoms:
```
data_NdSm5YHo2
_cell_length_a 10.5543
_cell_length_b 10.5543
_cell_length_c 10.6739
_cell_angle_alpha 90.00
_cell_angle_beta 90.00
_cell_angle_gamma 148.92
_space_group_name_H-M_alt 'P 1'
_space_group_IT_number 1
loop_
_space_group_symop_operation_xyz
'x,y,z'
loop_
_atom_site_label
_atom_site_type_symbol
_atom_site_fract_x
_atom_site_fract_y
_atom_site_fract_z
_atom_site_occupancy
Nd1 Nd 0.2016 0.7984 0.5000 1
Nd2 Nd 0.7984 0.2016 0.0000 1
Sm1 Sm 0.0162 0.9838 0.5122 1
Sm2 Sm 0.2802 0.7198 0.7977 1
Sm3 Sm 0.2984 0.7016 0.1952 1
Sm4 Sm 0.3923 0.6077 0.5148 1
Sm5 Sm 0.4788 0.5212 0.2303 1
Sm6 Sm 0.5212 0.4788 0.7303 1
Sm7 Sm 0.6077 0.3923 0.0148 1
Sm8 Sm 0.7016 0.2984 0.6952 1
Sm9 Sm 0.7198 0.2802 0.2977 1
Sm10 Sm 0.9838 0.0162 0.0122 1
Y1 Y 0.4109 0.5891 0.9447 1
Y2 Y 0.5891 0.4109 0.4447 1
Ho1 Ho 0.1108 0.8892 0.2256 1
Ho2 Ho 0.1154 0.8846 0.8074 1
Ho3 Ho 0.8846 0.1154 0.3074 1
Ho4 Ho 0.8892 0.1108 0.7256 1
```

---

[5]
MnOsAu2: calculated powder diffraction line list (Cu Kα (weighted mean of Kα1 and Kα2)), based on the GGA-PBE geometry in Alexandria.

Most intense lines, 15 to 90 degrees two-theta, most intense first:
- 2θ = 38.69°, I = 100
- 2θ = 39.15°, I = 97
- 2θ = 45.38°, I = 64
- 2θ = 65.80°, I = 42
- 2θ = 79.02°, I = 38
- 2θ = 44.97°, I = 33
- 2θ = 79.90°, I = 25
- 2θ = 19.07°, I = 23

Cell and atoms:
```
data_MnOsAu2
_cell_length_a 5.7012
_cell_length_b 8.0630
_cell_length_c 2.8027
_cell_angle_alpha 90.00
_cell_angle_beta 90.00
_cell_angle_gamma 90.00
_space_group_name_H-M_alt 'P 1'
_space_group_IT_number 1
loop_
_space_group_symop_operation_xyz
'x,y,z'
loop_
_atom_site_label
_atom_site_type_symbol
_atom_site_fract_x
_atom_site_fract_y
_atom_site_fract_z
_atom_site_occupancy
Mn1 Mn 0.0000 0.0000 0.0000 1
Mn2 Mn 0.5000 0.5000 0.0000 1
Os1 Os 0.0000 0.5000 0.0000 1
Os2 Os 0.5000 0.0000 0.0000 1
Au1 Au 0.2500 0.2500 0.5000 1
Au2 Au 0.2500 0.7500 0.5000 1
Au3 Au 0.7500 0.2500 0.5000 1
Au4 Au 0.7500 0.7500 0.5000 1
```

---

[6]
Sr2InSnHg6: calculated powder diffraction line list (Cu Kα (weighted mean of Kα1 and Kα2)), based on the GGA-PBE geometry in Alexandria.

Most intense lines, 15 to 90 degrees two-theta, most intense first:
- 2θ = 16.41°, I = 100
- 2θ = 33.17°, I = 95
- 2θ = 30.53°, I = 85
- 2θ = 30.25°, I = 69
- 2θ = 34.99°, I = 68
- 2θ = 60.55°, I = 34
- 2θ = 38.28°, I = 33
- 2θ = 38.98°, I = 29

Cell and atoms:
```
data_Sr2InSnHg6
_cell_length_a 5.8296
_cell_length_b 7.5728
_cell_length_c 7.6744
_cell_angle_alpha 90.22
_cell_angle_beta 111.41
_cell_angle_gamma 111.93
_space_group_name_H-M_alt 'P 1'
_space_group_IT_number 1
loop_
_space_group_symop_operation_xyz
'x,y,z'
loop_
_atom_site_label
_atom_site_type_symbol
_atom_site_fract_x
_atom_site_fract_y
_atom_site_fract_z
_atom_site_occupancy
Sr1 Sr 0.2340 0.2264 0.2427 1
Sr2 Sr 0.7660 0.7736 0.7573 1
In1 In 0.0000 0.5000 0.5000 1
Sn1 Sn 0.5000 0.0000 0.0000 1
Hg1 Hg 0.1678 0.6717 0.1758 1
Hg2 Hg 0.2549 0.9402 0.5699 1
Hg3 Hg 0.3347 0.3384 0.8152 1
Hg4 Hg 0.6653 0.6616 0.1848 1
Hg5 Hg 0.7451 0.0598 0.4301 1
Hg6 Hg 0.8322 0.3283 0.8242 1
```

---

[7]
PmNdRu: calculated powder diffraction line list (Cu Kα (weighted mean of Kα1 and Kα2)), based on the GGA-PBE geometry in Alexandria.

Most intense lines, 15 to 90 degrees two-theta, most intense first:
- 2θ = 33.41°, I = 100
- 2θ = 26.09°, I = 68
- 2θ = 33.78°, I = 64
- 2θ = 39.73°, I = 62
- 2θ = 32.42°, I = 47
- 2θ = 40.43°, I = 44
- 2θ = 53.68°, I = 34
- 2θ = 42.18°, I = 29

Cell and atoms:
```
data_PmNdRu
_cell_length_a 5.4927
_cell_length_b 4.4617
_cell_length_c 7.2764
_cell_angle_alpha 90.00
_cell_angle_beta 104.94
_cell_angle_gamma 90.00
_space_group_name_H-M_alt 'P 1'
_space_group_IT_number 1
loop_
_space_group_symop_operation_xyz
'x,y,z'
loop_
_atom_site_label
_atom_site_type_symbol
_atom_site_fract_x
_atom_site_fract_y
_atom_site_fract_z
_atom_site_occupancy
Pm1 Pm 0.2431 0.2500 0.4451 1
Pm2 Pm 0.7569 0.7500 0.5549 1
Nd1 Nd 0.2390 0.2500 0.9495 1
Nd2 Nd 0.7610 0.7500 0.0505 1
Ru1 Ru 0.3034 0.7500 0.2252 1
Ru2 Ru 0.6966 0.2500 0.7748 1
```

---

[8]
La2Tb5YEr: calculated powder diffraction line list (Cu Kα (weighted mean of Kα1 and Kα2)), based on the GGA-PBE geometry in Alexandria.

Most intense lines, 15 to 90 degrees two-theta, most intense first:
- 2θ = 32.08°, I = 100
- 2θ = 29.89°, I = 42
- 2θ = 31.58°, I = 41
- 2θ = 56.56°, I = 21
- 2θ = 28.04°, I = 19
- 2θ = 59.31°, I = 14
- 2θ = 33.42°, I = 14
- 2θ = 60.88°, I = 13

Cell and atoms:
```
data_La2Tb5YEr
_cell_length_a 10.3920
_cell_length_b 10.3920
_cell_length_c 10.7261
_cell_angle_alpha 90.00
_cell_angle_beta 90.00
_cell_angle_gamma 148.36
_space_group_name_H-M_alt 'P 1'
_space_group_IT_number 1
loop_
_space_group_symop_operation_xyz
'x,y,z'
loop_
_atom_site_label
_atom_site_type_symbol
_atom_site_fract_x
_atom_site_fract_y
_atom_site_fract_z
_atom_site_occupancy
La1 La 0.1134 0.8866 0.5000 1
La2 La 0.1158 0.8842 0.0841 1
La3 La 0.8842 0.1158 0.5841 1
La4 La 0.8866 0.1134 0.0000 1
Tb1 Tb 0.0157 0.9843 0.7891 1
Tb2 Tb 0.2798 0.7202 0.0760 1
Tb3 Tb 0.2988 0.7012 0.4731 1
Tb4 Tb 0.3861 0.6139 0.7879 1
Tb5 Tb 0.4808 0.5192 0.5073 1
Tb6 Tb 0.5192 0.4808 0.0073 1
Tb7 Tb 0.6139 0.3861 0.2879 1
Tb8 Tb 0.7012 0.2988 0.9731 1
Tb9 Tb 0.7202 0.2798 0.5760 1
Tb10 Tb 0.9843 0.0157 0.2891 1
Y1 Y 0.4110 0.5890 0.2279 1
Y2 Y 0.5890 0.4110 0.7279 1
Er1 Er 0.2006 0.7994 0.7782 1
Er2 Er 0.7994 0.2006 0.2782 1
```

---

[9]
Te2MoW2Se4: calculated powder diffraction line list (Cu Kα (weighted mean of Kα1 and Kα2)), based on the GGA-PBE geometry in Alexandria.

Most intense lines, 15 to 90 degrees two-theta, most intense first:
- 2θ = 36.56°, I = 100
- 2θ = 30.42°, I = 64
- 2θ = 44.67°, I = 54
- 2θ = 54.06°, I = 46
- 2θ = 34.46°, I = 37
- 2θ = 32.75°, I = 35
- 2θ = 41.71°, I = 33
- 2θ = 75.71°, I = 25

Cell and atoms:
```
data_Te2MoW2Se4
_cell_length_a 3.3928
_cell_length_b 3.3928
_cell_length_c 22.4324
_cell_angle_alpha 90.00
_cell_angle_beta 90.00
_cell_angle_gamma 120.00
_space_group_name_H-M_alt 'P 1'
_space_group_IT_number 1
loop_
_space_group_symop_operation_xyz
'x,y,z'
loop_
_atom_site_label
_atom_site_type_symbol
_atom_site_fract_x
_atom_site_fract_y
_atom_site_fract_z
_atom_site_occupancy
Te1 Te 0.0000 0.0000 0.0836 1
Te2 Te 0.0000 0.0000 0.9164 1
Mo1 Mo 0.3333 0.6667 0.0000 1
W1 W 0.0000 0.0000 0.3273 1
W2 W 0.0000 0.0000 0.6727 1
Se1 Se 0.3333 0.6667 0.2534 1
Se2 Se 0.3333 0.6667 0.4011 1
Se3 Se 0.3333 0.6667 0.5989 1
Se4 Se 0.3333 0.6667 0.7466 1
```

---

[10]
Cs2CaPdF6: calculated powder diffraction line list (Cu Kα (weighted mean of Kα1 and Kα2)), based on the GGA-PBE geometry in Alexandria.

Most intense lines, 15 to 90 degrees two-theta, most intense first:
- 2θ = 27.47°, I = 100
- 2θ = 21.74°, I = 75
- 2θ = 35.30°, I = 65
- 2θ = 34.08°, I = 56
- 2θ = 44.32°, I = 44
- 2θ = 52.93°, I = 39
- 2θ = 31.38°, I = 34
- 2θ = 56.73°, I = 32

Cell and atoms:
```
data_Cs2CaPdF6
_cell_length_a 6.4942
_cell_length_b 6.4942
_cell_length_c 5.9519
_cell_angle_alpha 90.00
_cell_angle_beta 90.00
_cell_angle_gamma 120.00
_space_group_name_H-M_alt 'P 1'
_space_group_IT_number 1
loop_
_space_group_symop_operation_xyz
'x,y,z'
loop_
_atom_site_label
_atom_site_type_symbol
_atom_site_fract_x
_atom_site_fract_y
_atom_site_fract_z
_atom_site_occupancy
Cs1 Cs 0.3333 0.6667 0.3274 1
Cs2 Cs 0.6667 0.3333 0.6726 1
Ca1 Ca 0.0000 0.0000 0.0000 1
Pd1 Pd 0.0000 0.0000 0.5000 1
F1 F 0.1498 0.2996 0.7413 1
F2 F 0.1498 0.8502 0.7413 1
F3 F 0.2996 0.1498 0.2587 1
F4 F 0.7004 0.8502 0.7413 1
F5 F 0.8502 0.1498 0.2587 1
F6 F 0.8502 0.7004 0.2587 1
```

---

[11]
MnRuCS: calculated powder diffraction line list (Cu Kα (weighted mean of Kα1 and Kα2)), based on the GGA-PBE geometry in Alexandria.

Most intense lines, 15 to 90 degrees two-theta, most intense first:
- 2θ = 34.63°, I = 100
- 2θ = 15.57°, I = 57
- 2θ = 51.09°, I = 46
- 2θ = 31.94°, I = 43
- 2θ = 54.79°, I = 38
- 2θ = 31.43°, I = 29
- 2θ = 39.97°, I = 28
- 2θ = 42.18°, I = 28

Cell and atoms:
```
data_MnRuCS
_cell_length_a 6.0558
_cell_length_b 3.0140
_cell_length_c 6.1510
_cell_angle_alpha 90.00
_cell_angle_beta 112.26
_cell_angle_gamma 90.00
_space_group_name_H-M_alt 'P 1'
_space_group_IT_number 1
loop_
_space_group_symop_operation_xyz
'x,y,z'
loop_
_atom_site_label
_atom_site_type_symbol
_atom_site_fract_x
_atom_site_fract_y
_atom_site_fract_z
_atom_site_occupancy
Mn1 Mn 0.0000 0.0000 0.0000 1
Mn2 Mn 0.5000 0.5000 0.0000 1
Ru1 Ru 0.0781 0.5000 0.6515 1
Ru2 Ru 0.5781 0.0000 0.6515 1
C1 C 0.3124 0.0000 0.7553 1
C2 C 0.8124 0.5000 0.7553 1
S1 S 0.4108 0.0000 0.2374 1
S2 S 0.9108 0.5000 0.2374 1
```

---

[12]
TbPr5Ga4: calculated powder diffraction line list (Cu Kα (weighted mean of Kα1 and Kα2)), based on the GGA-PBE geometry in Alexandria.

Most intense lines, 15 to 90 degrees two-theta, most intense first:
- 2θ = 30.84°, I = 100
- 2θ = 32.20°, I = 92
- 2θ = 30.16°, I = 87
- 2θ = 26.67°, I = 79
- 2θ = 29.29°, I = 63
- 2θ = 37.09°, I = 54
- 2θ = 33.48°, I = 48
- 2θ = 58.12°, I = 35

Cell and atoms:
```
data_TbPr5Ga4
_cell_length_a 7.9919
_cell_length_b 8.8347
_cell_length_c 8.4268
_cell_angle_alpha 90.00
_cell_angle_beta 90.00
_cell_angle_gamma 90.00
_space_group_name_H-M_alt 'P 1'
_space_group_IT_number 1
loop_
_space_group_symop_operation_xyz
'x,y,z'
loop_
_atom_site_label
_atom_site_type_symbol
_atom_site_fract_x
_atom_site_fract_y
_atom_site_fract_z
_atom_site_occupancy
Tb1 Tb 0.2500 0.2500 0.0811 1
Tb2 Tb 0.7500 0.7500 0.9189 1
Pr1 Pr 0.0035 0.5542 0.2674 1
Pr2 Pr 0.0035 0.9458 0.2674 1
Pr3 Pr 0.2500 0.7500 0.6477 1
Pr4 Pr 0.4965 0.5542 0.2674 1
Pr5 Pr 0.4965 0.9458 0.2674 1
Pr6 Pr 0.5035 0.0542 0.7326 1
Pr7 Pr 0.5035 0.4458 0.7326 1
Pr8 Pr 0.7500 0.2500 0.3523 1
Pr9 Pr 0.9965 0.0542 0.7326 1
Pr10 Pr 0.9965 0.4458 0.7326 1
Ga1 Ga 0.0980 0.2500 0.4361 1
Ga2 Ga 0.2500 0.5968 0.9849 1
Ga3 Ga 0.2500 0.9032 0.9849 1
Ga4 Ga 0.4020 0.2500 0.4361 1
Ga5 Ga 0.5980 0.7500 0.5639 1
Ga6 Ga 0.7500 0.0968 0.0151 1
Ga7 Ga 0.7500 0.4032 0.0151 1
Ga8 Ga 0.9020 0.7500 0.5639 1
```

---

[13]
Na8AgBi2: calculated powder diffraction line list (Cu Kα (weighted mean of Kα1 and Kα2)), based on the GGA-PBE geometry in Alexandria.

Most intense lines, 15 to 90 degrees two-theta, most intense first:
- 2θ = 33.53°, I = 100
- 2θ = 20.10°, I = 78
- 2θ = 20.39°, I = 76
- 2θ = 23.19°, I = 44
- 2θ = 38.80°, I = 30
- 2θ = 32.64°, I = 28
- 2θ = 39.29°, I = 26
- 2θ = 33.40°, I = 22

Cell and atoms:
```
data_Na8AgBi2
_cell_length_a 9.2843
_cell_length_b 9.2843
_cell_length_c 9.2843
_cell_angle_alpha 145.63
_cell_angle_beta 132.67
_cell_angle_gamma 59.79
_space_group_name_H-M_alt 'P 1'
_space_group_IT_number 1
loop_
_space_group_symop_operation_xyz
'x,y,z'
loop_
_atom_site_label
_atom_site_type_symbol
_atom_site_fract_x
_atom_site_fract_y
_atom_site_fract_z
_atom_site_occupancy
Na1 Na 0.1140 0.3499 0.7642 1
Na2 Na 0.1790 0.1790 0.0000 1
Na3 Na 0.2673 0.0000 0.2673 1
Na4 Na 0.4143 0.6501 0.7642 1
Na5 Na 0.5857 0.3499 0.2358 1
Na6 Na 0.7327 0.0000 0.7327 1
Na7 Na 0.8210 0.8210 0.0000 1
Na8 Na 0.8860 0.6501 0.2358 1
Ag1 Ag 0.0000 0.5000 0.5000 1
Bi1 Bi 0.3222 0.8222 0.5000 1
Bi2 Bi 0.6778 0.1778 0.5000 1
```